Starting from a crystal structure in the Materials Project, relaxed with GGA-PBE, the X-ray powder pattern of CsCrCl3 was calculated for Cu Kα (weighted mean of Kα1 and Kα2).
Intensities are scaled so that the largest is 100.

The 10 most intense peaks (2θ from 15° to 90°), in order of falling intensity:
two_theta, I_rel
31.50, 100
31.22, 69
23.99, 62
19.89, 55
30.87, 33
19.64, 31
24.17, 31
49.12, 30
28.26, 29
40.42, 27

```
10
Lattice="6.4419 -3.6828 0.0000 6.4419 3.6828 0.0000 -0.1500 0.0000 6.3154" Properties=species:S:1:pos:R:3 pbc="T T T"
Cs 2.1153 0.0000 1.5577
Cs 10.6185 0.0000 4.7577
Cr 6.4419 0.0000 0.0000
Cr 6.3669 0.0000 3.1577
Cl 5.4347 1.6872 1.6996
Cl 4.2920 0.0000 5.0124
Cl 7.2990 1.6872 4.6157
Cl 5.4347 -1.6872 1.6996
Cl 8.4417 0.0000 1.3029
Cl 7.2990 -1.6872 4.6157
```